K2RbTbV2O8: simulated X-ray powder pattern (Cu Kα (weighted mean of Kα1 and Kα2)), based on a crystal structure in Alexandria, relaxed with GGA+U.
Kinematic intensities with the Lorentz-polarization factor, no thermal factor.

Structure:
```
data_K2RbTbV2O8
_space_group_name_H-M_alt 'P -3 m 1'
_space_group_IT_number 164
_space_group_name_Hall '-P 3 2"'
_cell_length_a 6.0420
_cell_length_b 6.0420
_cell_length_c 7.8028
_cell_angle_alpha 90.00
_cell_angle_beta 90.00
_cell_angle_gamma 120.00
loop_
_atom_site_label
_atom_site_type_symbol
_atom_site_fract_x
_atom_site_fract_y
_atom_site_fract_z
K1 K 0.3333 0.6667 0.1967
Rb1 Rb 0.0000 0.0000 0.5000
Tb1 Tb 0.0000 0.0000 0.0000
V1 V 0.3333 0.6667 0.7482
O1 O 0.1751 0.3502 0.8270
O2 O 0.3333 0.6667 0.5324
```

Most intense lines, 15 to 90 degrees two-theta, in order of rising 2θ:
2θ = 16.9°, d 5.233, I = 37, hkl 1 0 0
2θ = 20.4°, d 4.346, I = 24, hkl 1 0 1
2θ = 28.5°, d 3.128, I = 100, hkl 0 1 2
2θ = 29.6°, d 3.021, I = 90, hkl 1 1 0
2θ = 41.6°, d 2.173, I = 49, hkl 2 0 2
2θ = 51.8°, d 1.764, I = 35, hkl 1 2 2
2θ = 52.5°, d 1.744, I = 17, hkl 3 0 0
2θ = 56.1°, d 1.639, I = 23, hkl 1 1 4
2θ = 61.4°, d 1.511, I = 16, hkl 2 2 0
2θ = 69.1°, d 1.360, I = 16, hkl 3 1 2